1.
Diffraction record for SnOsN2. The X-ray diffraction stick pattern is computed, not measured: it uses the GGA-PBE geometry in Alexandria and Cu Kα, 1.54184 Å.
No peak broadening, texture or thermal motion is included.

Main lines, most intense first (2θ = 10–80°):
Position (°2θ), Rel. int., hkl
34.5, 100.0, 0 1 2
38.0, 63.5, 1 0 4
26.9, 57.0, 0 0 6
50.0, 39.5, 0 1 8
66.5, 28.8, 1 1 6
57.7, 25.0, 1 0 10

Atomic structure:
Cell lengths 3.1081, 3.1081, 19.8763 Å; angles 90.00, 90.00, 120.00 degrees
Space group R-3m (No. 166, hexagonal axes)
Unique sites:
Sn (0.0000, 0.0000, 0.0000)
Os (0.0000, 0.0000, 0.5000)
N (0.0000, 0.0000, 0.1141)

---

2.
Diffraction record for H12PdC4N2O10. The X-ray diffraction stick pattern is computed, not measured: it uses the GGA-PBE geometry in Alexandria and Cu Kα, 1.54184 Å.
No peak broadening, texture or thermal motion is included.

Main lines, most intense first (2θ = 10–80°):
Position (°2θ), Rel. int., hkl
24.6, 100.0, 1 1 1
15.9, 73.4, 0 1 1
12.7, 49.1, 0 2 0
18.4, 32.0, 1 2 0
13.3, 30.3, 1 0 0
30.9, 19.1, 2 3 -1

Atomic structure:
Cell lengths 7.440, 13.984, 6.752 Å; angles 90.00, 116.13, 90.00 degrees
Space group P2_1/c (No. 14)
Unique sites:
H (0.025, 0.111, 0.381)
H (0.061, 0.205, 0.554)
H (0.092, 0.613, 0.954)
H (0.162, 0.693, 0.166)
H (0.357, 0.674, 0.791)
H (0.463, 0.731, 0.417)
Pd (0.500, 0.000, 0.000)
C (0.250, 0.012, 0.214)
C (0.263, 0.115, 0.135)
N (0.042, 0.654, 0.045)
O (0.145, 0.505, 0.811)
O (0.175, 0.181, 0.178)
O (0.337, 0.732, 0.863)
O (0.355, 0.553, 0.672)
O (0.370, 0.124, 0.027)